Structure and computed powder X-ray diffraction pattern of BaNdFeSnO6 (a structure optimized by DFT (GGA+U); Cu Ka).

Crystal structure
```
data_BaNdFeSnO6
_chemical_formula_sum 'Ba4 Nd4 Fe4 Sn4 O24'
_space_group_name_H-M_alt 'F -4 3 m'
_space_group_IT_number 216
_space_group_name_Hall 'F -4 2 3'
_cell_length_a 8.130
_cell_length_b 8.130
_cell_length_c 8.130
_cell_angle_alpha 90.00
_cell_angle_beta 90.00
_cell_angle_gamma 90.00
loop_
_atom_site_label
_atom_site_type_symbol
_atom_site_fract_x
_atom_site_fract_y
_atom_site_fract_z
_atom_site_occupancy
Ba1 Ba 0.000 0.000 0.000 1
Nd1 Nd 0.000 0.000 0.500 1
Fe1 Fe 0.250 0.250 0.750 1
Sn1 Sn 0.250 0.250 0.250 1
O1 O 0.003 0.250 0.750 1
```

Most intense lines, 10 to 90 degrees two-theta, most intense first:
| 2θ/deg | intensity |
| --- | --- |
| 31.11 | 100 |
| 55.36 | 40 |
| 44.58 | 31 |
| 64.87 | 19 |
| 73.70 | 18 |
| 38.35 | 8 |
| 82.13 | 6 |
| 18.91 | 4 |
| 36.66 | 3 |
| 21.86 | 2 |